This entry pairs a crystal structure of Pr3CdRu with its calculated PXRD pattern. Radiation: λ = 1.5418 Å (Cu Kα). Structure: a crystal structure in Alexandria, relaxed with PBE.
Neutral-atom scattering factors, no anomalous dispersion.

Cell and atoms:
abc: 6.7535 10.3120 16.2743
angles: 90.00 90.00 90.00
Space group Fmmm (No. 69)
Inequivalent atoms, fractional coordinates:
Pr1 0.0000 0.0000 0.1994
Pr2 0.0000 0.1925 0.3898
Cd1 0.2059 0.0000 0.0000
Ru1 0.2500 0.2500 0.2500

The 10 most intense peaks (10° ≤ 2θ ≤ 80°), by intensity:
d_spacing, Position (°2θ), intensity, h k l
2.668, 33.6, 100, 2 2 2
3.011, 29.7, 60, 1 3 1
2.820, 31.7, 51, 1 1 5
2.598, 34.5, 50, 2 0 4
1.687, 54.4, 41, 4 0 0
2.400, 37.5, 32, 0 2 6
3.194, 27.9, 30, 0 2 4
2.320, 38.8, 24, 2 2 4
2.578, 34.8, 21, 0 4 0
1.779, 51.4, 18, 3 3 3

***

This entry pairs a crystal structure of Zn10Cu6Ir with its calculated PXRD pattern. Radiation: λ = 1.5418 Å (Cu Kα). Structure: a crystal structure in Alexandria, relaxed with PBE.
Neutral-atom scattering factors, no anomalous dispersion.

Cell and atoms:
abc: 7.2738 7.2738 5.1197
angles: 90.00 90.00 120.00
Space group P-31m (No. 162)
Inequivalent atoms, fractional coordinates:
Zn1 0.0000 0.2840 0.1807
Zn2 0.3333 0.6667 0.0000
Zn3 0.3333 0.6667 0.5000
Cu1 0.0000 0.3629 0.6825
Ir1 0.0000 0.0000 0.5000

The 10 most intense peaks (10° ≤ 2θ ≤ 80°), by intensity:
d_spacing, Position (°2θ), intensity, h k l
2.093, 43.2, 100, 2 -1 2
2.100, 43.1, 85, 3 0 0
2.159, 41.8, 34, 2 1 1
1.211, 79.0, 28, 5 -1 2
1.482, 62.7, 26, 2 2 2
2.683, 33.4, 20, 2 0 1
1.207, 79.4, 14, 1 1 4
3.973, 22.4, 13, 1 0 1
2.965, 30.1, 12, 2 -1 1
1.391, 67.3, 12, 5 -2 1